Simulated powder X-ray diffraction pattern
Compound: Pm2CuIr
Radiation: Cu Kα, 1.54184 Å
Structure: a GGA-PBE-relaxed structure

Top 8 peaks for 2θ from 10° to 90°, sorted by position:
d [Å], Position (°2θ), intensity
4.069, 21.84, 108
2.492, 36.04, 1000
2.125, 42.54, 60
1.762, 51.89, 176
1.617, 56.95, 27
1.439, 64.81, 359
1.246, 76.45, 111
1.114, 87.55, 162

Atomic structure:
Cell: 4.984 4.984 4.984 Å, 60.00 60.00 60.00°
Atoms (fractional coordinates):
Pm 0.250 0.250 0.250
Pm 0.750 0.750 0.750
Cu 0.000 0.000 0.000
Ir 0.500 0.500 0.500

---

Simulated powder X-ray diffraction pattern
Compound: Pr2CuIr
Radiation: Cu Kα, 1.54184 Å
Structure: a GGA-PBE-relaxed structure

Top 8 peaks for 2θ from 10° to 90°, sorted by position:
d [Å], Position (°2θ), intensity
4.151, 21.41, 112
2.542, 35.31, 1000
2.168, 41.66, 63
1.797, 50.79, 177
1.649, 55.73, 28
1.468, 63.38, 362
1.271, 74.68, 112
1.137, 85.40, 160

Atomic structure:
Cell: 5.084 5.084 5.084 Å, 60.00 60.00 60.00°
Atoms (fractional coordinates):
Pr 0.250 0.250 0.250
Pr 0.750 0.750 0.750
Cu 0.000 0.000 0.000
Ir 0.500 0.500 0.500

---

Simulated powder X-ray diffraction pattern
Compound: Tb2CuIr
Radiation: Cu Kα, 1.54184 Å
Structure: a GGA-PBE-relaxed structure

Top 8 peaks for 2θ from 10° to 90°, sorted by position:
d [Å], Position (°2θ), intensity
3.996, 22.25, 101
2.447, 36.73, 1000
2.087, 43.36, 56
1.730, 52.91, 175
1.588, 58.09, 25
1.413, 66.14, 357
1.224, 78.11, 111
1.094, 89.57, 164

Atomic structure:
Cell: 4.894 4.894 4.894 Å, 60.00 60.00 60.00°
Atoms (fractional coordinates):
Tb 0.250 0.250 0.250
Tb 0.750 0.750 0.750
Cu 0.000 0.000 0.000
Ir 0.500 0.500 0.500

---

Simulated powder X-ray diffraction pattern
Compound: Ti2CuIr
Radiation: Cu Kα, 1.54184 Å
Structure: a GGA-PBE-relaxed structure

Top 8 peaks for 2θ from 10° to 90°, sorted by position:
d [Å], Position (°2θ), intensity
3.574, 24.91, 284
3.095, 28.85, 276
2.189, 41.25, 1000
1.866, 48.79, 149
1.548, 59.75, 162
1.384, 67.69, 108
1.264, 75.19, 321
1.094, 89.57, 105

Atomic structure:
Cell: 4.377 4.377 4.377 Å, 60.00 60.00 60.00°
Atoms (fractional coordinates):
Ti 0.250 0.250 0.250
Ti 0.750 0.750 0.750
Cu 0.000 0.000 0.000
Ir 0.500 0.500 0.500

---

Simulated powder X-ray diffraction pattern
Compound: TlCuIr
Radiation: Cu Kα, 1.54184 Å
Structure: a GGA-PBE-relaxed structure

Top 8 peaks for 2θ from 10° to 90°, sorted by position:
d [Å], Position (°2θ), intensity
3.576, 24.90, 620
2.190, 41.22, 1000
1.868, 48.76, 316
1.548, 59.72, 168
1.421, 65.71, 133
1.264, 75.14, 342
1.192, 80.59, 102
1.095, 89.51, 114

Atomic structure:
Cell: 4.380 4.380 4.380 Å, 60.00 60.00 60.00°
Atoms (fractional coordinates):
Tl 0.000 0.000 0.000
Cu 0.500 0.500 0.500
Ir 0.250 0.250 0.250

---

Simulated powder X-ray diffraction pattern
Compound: Y2CuIr
Radiation: Cu Kα, 1.54184 Å
Structure: a GGA-PBE-relaxed structure

Top 8 peaks for 2θ from 10° to 90°, sorted by position:
d [Å], Position (°2θ), intensity
3.993, 22.26, 173
2.446, 36.75, 1000
2.086, 43.39, 95
1.729, 52.95, 173
1.587, 58.13, 42
1.412, 66.19, 347
1.223, 78.17, 107
1.094, 89.64, 157

Atomic structure:
Cell: 4.891 4.891 4.891 Å, 60.00 60.00 60.00°
Atoms (fractional coordinates):
Y 0.250 0.250 0.250
Y 0.750 0.750 0.750
Cu 0.000 0.000 0.000
Ir 0.500 0.500 0.500

---

Simulated powder X-ray diffraction pattern
Compound: KLaCuTe4
Radiation: Cu Kα, 1.54184 Å
Structure: a GGA-PBE-relaxed structure

Top 8 peaks for 2θ from 10° to 90°, sorted by position:
d [Å], Position (°2θ), intensity
7.088, 12.49, 362
3.431, 25.97, 284
3.042, 29.36, 1000
2.899, 30.85, 229
2.782, 32.17, 390
2.727, 32.85, 804
2.246, 40.15, 711
1.588, 58.08, 236

Atomic structure:
Cell: 4.492 4.492 21.263 Å, 90.00 90.00 90.00°
Atoms (fractional coordinates):
K 0.250 0.250 0.138
K 0.750 0.750 0.862
La 0.250 0.250 0.602
La 0.750 0.750 0.398
Cu 0.250 0.750 0.000
Cu 0.750 0.250 0.000
Te 0.250 0.250 0.442
Te 0.250 0.250 0.930
Te 0.250 0.750 0.278
Te 0.250 0.750 0.722
Te 0.750 0.250 0.278
Te 0.750 0.250 0.722
Te 0.750 0.750 0.070
Te 0.750 0.750 0.558

---

Simulated powder X-ray diffraction pattern
Compound: KMg14Cu
Radiation: Cu Kα, 1.54184 Å
Structure: a GGA-PBE-relaxed structure

Top 8 peaks for 2θ from 10° to 90°, sorted by position:
d [Å], Position (°2θ), intensity
2.797, 31.99, 257
2.614, 34.31, 240
2.467, 36.43, 1000
1.910, 47.61, 151
1.615, 57.02, 173
1.479, 62.82, 150
1.374, 68.26, 172
1.351, 69.58, 133

Atomic structure:
Cell: 6.461 6.461 10.456 Å, 90.00 90.00 120.00°
Atoms (fractional coordinates):
K 0.000 0.000 0.000
Mg 0.007 0.504 0.000
Mg 0.165 0.331 0.274
Mg 0.165 0.331 0.726
Mg 0.165 0.835 0.274
Mg 0.165 0.835 0.726
Mg 0.496 0.504 0.000
Mg 0.496 0.993 0.000
Mg 0.504 0.008 0.500
Mg 0.504 0.496 0.500
Mg 0.667 0.333 0.244
Mg 0.667 0.333 0.756
Mg 0.669 0.835 0.274
Mg 0.669 0.835 0.726
Mg 0.992 0.496 0.500
Cu 0.000 0.000 0.500

---

Simulated powder X-ray diffraction pattern
Compound: KMg14Cu
Radiation: Cu Kα, 1.54184 Å
Structure: a GGA-PBE-relaxed structure

Top 8 peaks for 2θ from 10° to 90°, sorted by position:
d [Å], Position (°2θ), intensity
2.787, 32.11, 259
2.615, 34.30, 392
2.467, 36.42, 519
2.460, 36.53, 1000
1.908, 47.66, 235
1.613, 57.09, 172
1.478, 62.89, 175
1.373, 68.32, 186

Atomic structure:
Cell: 10.458 6.453 6.453 Å, 59.75 90.00 90.00°
Atoms (fractional coordinates):
K 0.000 0.000 0.000
Mg 0.000 0.011 0.493
Mg 0.000 0.493 0.011
Mg 0.237 0.663 0.663
Mg 0.257 0.176 0.656
Mg 0.257 0.656 0.176
Mg 0.265 0.170 0.170
Mg 0.500 0.000 0.000
Mg 0.500 0.501 0.501
Mg 0.500 0.504 0.998
Mg 0.500 0.998 0.504
Mg 0.735 0.170 0.170
Mg 0.743 0.176 0.656
Mg 0.743 0.656 0.176
Mg 0.763 0.663 0.663
Cu 0.000 0.500 0.500

---

Simulated powder X-ray diffraction pattern
Compound: K4MgNb2Cu2S8
Radiation: Cu Kα, 1.54184 Å
Structure: a GGA-PBE-relaxed structure

Top 8 peaks for 2θ from 10° to 90°, sorted by position:
d [Å], Position (°2θ), intensity
6.090, 14.55, 763
5.915, 14.98, 1000
5.865, 15.11, 582
3.492, 25.51, 329
3.364, 26.49, 354
2.883, 31.02, 265
2.239, 40.28, 192
2.175, 41.52, 192

Atomic structure:
Cell: 5.579 7.376 12.081 Å, 88.38 78.57 69.94°
Atoms (fractional coordinates):
K 0.000 0.000 0.000
K 0.149 0.569 0.726
K 0.400 0.994 0.267
K 0.816 0.527 0.454
Mg 0.497 0.105 0.794
Nb 0.245 0.054 0.607
Nb 0.996 0.494 0.096
Cu 0.491 0.502 0.098
Cu 0.777 0.022 0.572
S 0.093 0.700 0.207
S 0.186 0.811 0.500
S 0.381 0.280 0.985
S 0.441 0.229 0.486
S 0.587 0.807 0.684
S 0.716 0.681 0.985
S 0.782 0.315 0.208
S 0.829 0.246 0.705

---

Simulated powder X-ray diffraction pattern
Compound: K2MgNb2Cu4S8
Radiation: Cu Kα, 1.54184 Å
Structure: a GGA-PBE-relaxed structure

Top 8 peaks for 2θ from 10° to 90°, sorted by position:
d [Å], Position (°2θ), intensity
5.902, 15.01, 1000
3.783, 23.52, 174
3.265, 27.32, 175
2.532, 35.45, 199
2.105, 42.97, 195
2.010, 45.11, 323
1.902, 47.82, 226
1.891, 48.11, 197

Atomic structure:
Cell: 5.746 7.565 9.681 Å, 90.00 102.97 90.00°
Atoms (fractional coordinates):
K 0.000 0.000 0.000
K 0.453 0.500 0.756
Mg 0.674 0.000 0.358
Nb 0.099 0.000 0.622
Nb 0.955 0.500 0.187
Cu 0.023 0.255 0.409
Cu 0.023 0.745 0.409
Cu 0.454 0.500 0.201
Cu 0.611 0.000 0.629
S 0.138 0.500 0.001
S 0.263 0.500 0.398
S 0.279 0.000 0.417
S 0.432 0.000 0.814
S 0.706 0.253 0.198
S 0.706 0.747 0.198
S 0.859 0.248 0.620
S 0.859 0.752 0.620

---

Simulated powder X-ray diffraction pattern
Compound: K4MgNb2Cu2S8
Radiation: Cu Kα, 1.54184 Å
Structure: a GGA-PBE-relaxed structure

Top 8 peaks for 2θ from 10° to 90°, sorted by position:
d [Å], Position (°2θ), intensity
5.957, 14.87, 674
5.817, 15.23, 1000
3.412, 26.12, 556
2.855, 31.33, 193
2.785, 32.15, 232
2.306, 39.07, 390
1.939, 46.86, 208
1.823, 50.03, 195

Atomic structure:
Cell: 12.247 12.247 7.144 Å, 94.78 94.78 153.24°
Atoms (fractional coordinates):
K 0.000 0.000 0.000
K 0.222 0.778 0.500
K 0.623 0.377 0.000
K 0.867 0.133 0.500
Mg 0.422 0.578 0.000
Nb 0.046 0.954 0.500
Nb 0.794 0.206 0.000
Cu 0.294 0.706 0.000
Cu 0.549 0.451 0.500
S 0.188 0.473 0.184
S 0.257 0.054 0.303
S 0.326 0.348 0.711
S 0.527 0.812 0.816
S 0.588 0.104 0.203
S 0.652 0.674 0.289
S 0.896 0.412 0.797
S 0.946 0.743 0.697

---

Simulated powder X-ray diffraction pattern
Compound: K2MgNb2Cu4S8
Radiation: Cu Kα, 1.54184 Å
Structure: a GGA-PBE-relaxed structure

Top 8 peaks for 2θ from 10° to 90°, sorted by position:
d [Å], Position (°2θ), intensity
6.504, 13.61, 1000
5.648, 15.69, 583
5.345, 16.59, 218
4.781, 18.56, 240
3.315, 26.89, 251
3.252, 27.43, 192
2.005, 45.22, 281
1.943, 46.76, 338

Atomic structure:
Cell: 5.534 7.874 9.948 Å, 96.96 103.76 94.23°
Atoms (fractional coordinates):
K 0.000 0.000 0.000
K 0.181 0.624 0.613
Mg 0.493 0.358 0.878
Nb 0.253 0.562 0.065
Nb 0.475 0.066 0.541
Cu 0.379 0.801 0.311
Cu 0.410 0.284 0.336
Cu 0.783 0.564 0.124
Cu 0.967 0.075 0.528
S 0.150 0.045 0.339
S 0.151 0.532 0.285
S 0.297 0.079 0.735
S 0.499 0.321 0.123
S 0.536 0.806 0.111
S 0.693 0.829 0.518
S 0.728 0.309 0.533
S 0.885 0.549 0.889